The following is a simulated XRD peak list of NiSb2H12O6F8. It was derived from a DFT-relaxed cell (PBE+U, Alexandria), using Cu Kα, 1.54184 Å.

Largest 10 diffraction maxima, most intense first, 5 to 70 degrees two-theta:
2theta	d/Å	I (rel.)	index
9.63	9.181	100.0	0 2 0
19.58	4.533	84.4	0 3 1
22.21	4.003	81.9	1 2 0
26.29	3.390	69.2	1 2 -2
19.34	4.590	49.4	0 4 0
40.86	2.209	48.5	2 1 0
20.54	4.323	45.1	1 1 0
18.58	4.777	42.7	1 1 -1
36.76	2.445	37.4	0 7 1
19.96	4.448	33.9	1 0 0

```
NiSb2H12O6F8
1.0
5.055 0.000 0.000
0.000 18.362 0.000
-3.640 0.000 6.745
Ni Sb H O F
2 4 24 12 16
Direct
0.000 0.000 0.000
0.000 0.500 0.500
0.371 0.216 0.479
0.371 0.284 0.979
0.629 0.716 0.021
0.629 0.784 0.521
0.148 0.590 0.796
0.148 0.910 0.296
0.186 0.114 0.849
0.186 0.386 0.349
0.275 0.621 0.465
0.275 0.879 0.965
0.290 0.558 0.331
0.290 0.942 0.831
0.435 0.056 0.332
0.435 0.444 0.832
0.474 0.024 0.688
0.474 0.476 0.188
0.526 0.524 0.812
0.526 0.976 0.312
0.565 0.556 0.168
0.565 0.944 0.668
0.710 0.058 0.169
0.710 0.442 0.669
0.725 0.121 0.035
0.725 0.379 0.535
0.814 0.614 0.651
0.814 0.886 0.151
0.852 0.090 0.704
0.852 0.410 0.204
0.047 0.072 0.808
0.047 0.428 0.308
0.159 0.579 0.382
0.159 0.921 0.882
0.445 0.021 0.235
0.445 0.479 0.735
0.555 0.521 0.265
0.555 0.979 0.765
0.841 0.079 0.118
0.841 0.421 0.618
0.953 0.572 0.692
0.953 0.928 0.192
0.192 0.722 0.854
0.192 0.778 0.354
0.421 0.187 0.245
0.421 0.313 0.745
0.439 0.181 0.884
0.439 0.319 0.384
0.473 0.099 0.539
0.473 0.401 0.039
0.527 0.599 0.961
0.527 0.901 0.461
0.561 0.681 0.616
0.561 0.819 0.116
0.579 0.687 0.255
0.579 0.813 0.755
0.808 0.222 0.646
0.808 0.278 0.146
```